Sm2Ho2Er2Tm: simulated XRD peak list (Cu Kα X-rays), based on a GGA-PBE-relaxed structure.

Structure:
```
data_Sm2Ho2Er2Tm
_cell_length_a 11.618
_cell_length_b 3.495
_cell_length_c 11.712
_cell_angle_alpha 90.00
_cell_angle_beta 109.29
_cell_angle_gamma 90.00
_space_group_name_H-M_alt 'C 1 2/m 1'
_space_group_IT_number 12
loop_
_space_group_symop_operation_xyz
'x,y,z'
'-x,-y,-z'
'-x,y,-z'
'x,-y,z'
'x+1/2,y+1/2,z'
'-x+1/2,-y+1/2,-z'
'-x+1/2,y+1/2,-z'
'x+1/2,-y+1/2,z'
loop_
_atom_site_label
_atom_site_fract_x
_atom_site_fract_y
_atom_site_fract_z
Sm1 0.171 0.000 0.085
Ho1 0.050 0.000 0.769
Er1 0.226 0.500 0.364
Tm1 0.000 0.500 0.500
```

Top 10 peaks for 2θ from 10° to 90°, low angle first:
28.77 deg, I = 49, hkl 1 1 1
30.90 deg, I = 65, hkl 4 0 -1
31.06 deg, I = 77, hkl 2 0 -4
32.75 deg, I = 100, hkl 1 1 2
33.48 deg, I = 51, hkl 2 0 3
35.54 deg, I = 70, hkl 3 1 -2
38.33 deg, I = 27, hkl 3 1 -3
52.16 deg, I = 35, hkl 5 1 1
54.44 deg, I = 23, hkl 1 1 -6
62.15 deg, I = 42, hkl 2 2 -4